No. 1
La2Ti2CoO8: computed XRD peak list (Cu Kα), based on a structure optimized by DFT (PBE+U).
Intensities are scaled so that the largest is 100.

Top 10 peaks for 2θ = 10–80°, sorted by position:
2θ/deg	Rel. int.	(hkl)
27.76	100	1 0 2
31.95	37	1 0 3
34.09	26	1 1 0
34.83	31	1 1 1
35.13	21	0 0 5
44.64	32	1 1 4
48.99	29	2 0 0
49.76	15	1 1 5
57.24	25	2 1 2
61.70	15	2 0 5

Structural model:
```
data_La2Ti2CoO8
_chemical_formula_sum 'La2 Ti2 Co1 O8'
_symmetry_space_group_name_H-M 'P -4 m 2'
_symmetry_Int_Tables_number 115
_symmetry_space_group_name_Hall 'P -4 -2'
_cell_length_a 3.7190
_cell_length_b 3.7190
_cell_length_c 12.7735
_cell_angle_alpha 90.00
_cell_angle_beta 90.00
_cell_angle_gamma 90.00
loop_
_atom_site_label
_atom_site_fract_x
_atom_site_fract_y
_atom_site_fract_z
_atom_site_occupancy
La1 0.0000 0.5000 0.1145 1
Ti1 0.0000 0.5000 0.7081 1
Co1 0.0000 0.0000 0.5000 1
O1 0.0000 0.0000 0.2513 1
O2 0.0000 0.5000 0.5663 1
O3 0.0000 0.5000 0.9271 1
O4 0.5000 0.5000 0.2481 1
```

***

No. 2
FeOF: computed XRD peak list (Cu Kα), based on a structure optimized by DFT (PBE+U).
Intensities are scaled so that the largest is 100.

Top 10 peaks for 2θ = 10–80°, sorted by position:
2θ/deg	Rel. int.	(hkl)
26.60	100	2 0 3
34.69	54	0 1 3
39.71	18	2 1 -3
52.36	43	2 1 6
52.42	14	4 1 3
54.79	15	4 0 -6
59.96	10	0 2 0
66.42	10	0 1 9
66.57	10	6 1 0
66.75	12	2 2 3

Structural model:
```
data_FeOF
_chemical_formula_sum 'Fe12 O12 F12'
_symmetry_space_group_name_H-M 'P 1 m 1'
_symmetry_Int_Tables_number 6
_symmetry_space_group_name_Hall 'P -2y'
_cell_length_a 9.4661
_cell_length_b 3.0856
_cell_length_c 14.2357
_cell_angle_alpha 90.00
_cell_angle_beta 90.06
_cell_angle_gamma 90.00
loop_
_atom_site_label
_atom_site_fract_x
_atom_site_fract_y
_atom_site_fract_z
_atom_site_occupancy
Fe1 0.0000 0.0000 0.0000 1
Fe2 0.0040 0.0000 0.3357 1
Fe3 0.0151 0.0000 0.6569 1
Fe4 0.2536 0.5000 0.1889 1
Fe5 0.2608 0.5000 0.5170 1
Fe6 0.2891 0.5000 0.8378 1
Fe7 0.4907 0.0000 0.6672 1
Fe8 0.5049 0.0000 0.3289 1
Fe9 0.5115 0.0000 0.9977 1
Fe10 0.7212 0.5000 0.1689 1
Fe11 0.7572 0.5000 0.8509 1
Fe12 0.7841 0.5000 0.5021 1
O1 0.0971 0.5000 0.2711 1
O2 0.1151 0.5000 0.6072 1
O3 0.3502 0.0000 0.2383 1
O4 0.3510 0.0000 0.9073 1
O5 0.3536 0.0000 0.5684 1
O6 0.4185 0.5000 0.7349 1
O7 0.6008 0.5000 0.2779 1
O8 0.6025 0.5000 0.9363 1
O9 0.6524 0.0000 0.1020 1
O10 0.8559 0.0000 0.5707 1
O11 0.8612 0.0000 0.9063 1
O12 0.9094 0.5000 0.3980 1
F1 0.1055 0.5000 0.9422 1
F2 0.1514 0.0000 0.1016 1
F3 0.1583 0.0000 0.7778 1
F4 0.1670 0.0000 0.4458 1
F5 0.4011 0.5000 0.0710 1
F6 0.4055 0.5000 0.4089 1
F7 0.6084 0.5000 0.6056 1
F8 0.6554 0.0000 0.4414 1
F9 0.6712 0.0000 0.7715 1
F10 0.8477 0.0000 0.2278 1
F11 0.9138 0.5000 0.0719 1
F12 0.9154 0.5000 0.7377 1
```

***

No. 3
Li2V3SnO8: computed XRD peak list (Cu Kα), based on a structure optimized by DFT (PBE+U).
Intensities are scaled so that the largest is 100.

Top 10 peaks for 2θ = 10–80°, sorted by position:
2θ/deg	Rel. int.	(hkl)
17.90	27	1 1 1
20.70	47	0 2 0
29.44	40	0 2 2
34.67	100	1 1 3
36.27	13	2 2 2
46.11	15	3 3 1
47.38	14	0 4 2
52.22	16	2 4 2
55.63	30	1 1 5
61.09	39	0 4 4

Structural model:
```
data_Li2V3SnO8
_chemical_formula_sum 'Li8 V12 Sn4 O32'
_symmetry_space_group_name_H-M 'P 21 21 21'
_symmetry_Int_Tables_number 19
_symmetry_space_group_name_Hall 'P 2ac 2ab'
_cell_length_a 8.5688
_cell_length_b 8.5853
_cell_length_c 8.5889
_cell_angle_alpha 90.00
_cell_angle_beta 90.00
_cell_angle_gamma 90.00
loop_
_atom_site_label
_atom_site_fract_x
_atom_site_fract_y
_atom_site_fract_z
_atom_site_occupancy
Li1 0.0014 0.0032 0.4981 1
Li2 0.1254 0.6253 0.6256 1
V1 0.1255 0.8690 0.8676 1
V2 0.1356 0.1413 0.1284 1
V3 0.1367 0.3744 0.3724 1
Sn1 0.2454 0.7530 0.2488 1
O1 0.1091 0.6160 0.3776 1
O2 0.1102 0.8906 0.1135 1
O3 0.1167 0.3786 0.6157 1
O4 0.1190 0.3531 0.1374 1
O5 0.1245 0.1154 0.8904 1
O6 0.1360 0.1349 0.3561 1
O7 0.1389 0.6426 0.8752 1
O8 0.1502 0.8819 0.6351 1
```